[1]
Diffraction record for Nb2Zn4O9. The PXRD pattern is theoretical, not measured: it uses a crystal structure in Alexandria, relaxed with GGA-PBE and Cu Kα X-rays.
Lines closer than 0.1° are merged.

Crystal structure
Cell lengths 5.259, 5.259, 14.381 Å; angles 90.00, 90.00, 120.00 degrees
Fractional positions:
Nb: 0.000 0.000 0.139
Nb: 0.000 0.000 0.361
Nb: 0.000 0.000 0.639
Nb: 0.000 0.000 0.861
Zn: 0.333 0.667 0.014
Zn: 0.333 0.667 0.295
Zn: 0.333 0.667 0.514
Zn: 0.333 0.667 0.795
Zn: 0.667 0.333 0.205
Zn: 0.667 0.333 0.486
Zn: 0.667 0.333 0.705
Zn: 0.667 0.333 0.986
O: 0.000 0.286 0.250
O: 0.000 0.714 0.750
O: 0.020 0.340 0.916
O: 0.020 0.680 0.416
O: 0.286 0.000 0.250
O: 0.286 0.286 0.750
O: 0.320 0.340 0.416
O: 0.320 0.980 0.916
O: 0.340 0.020 0.584
O: 0.340 0.320 0.084
O: 0.660 0.680 0.916
O: 0.660 0.980 0.416
O: 0.680 0.020 0.084
O: 0.680 0.660 0.584
O: 0.714 0.000 0.750
O: 0.714 0.714 0.250
O: 0.980 0.320 0.584
O: 0.980 0.660 0.084

Peak list (6 most intense, 10° ≤ 2θ ≤ 90°, by intensity)
Position (°2θ)  d (Å)  I (rel.)
31.71  2.822  100.0
34.10  2.630  71.2
47.25  1.924  37.3
59.54  1.553  34.7
61.03  1.518  26.0
51.60  1.771  22.9

[2]
Diffraction record for Zr6Nb2O17. The PXRD pattern is theoretical, not measured: it uses a crystal structure in Alexandria, relaxed with GGA-PBE and Cu Kα X-rays.
Lines closer than 0.1° are merged.

Crystal structure
Cell lengths 21.199, 21.199, 5.039 Å; angles 95.73, 95.73, 14.43 degrees
Fractional positions:
Zr: 0.000 0.000 0.000
Zr: 0.048 0.455 0.266
Zr: 0.178 0.567 0.399
Zr: 0.189 0.430 0.812
Zr: 0.433 0.822 0.601
Zr: 0.503 0.497 0.500
Zr: 0.545 0.952 0.734
Zr: 0.570 0.811 0.188
Zr: 0.673 0.073 0.876
Zr: 0.804 0.067 0.464
Zr: 0.927 0.327 0.124
Zr: 0.933 0.196 0.536
Nb: 0.062 0.313 0.649
Nb: 0.301 0.568 0.923
Nb: 0.432 0.699 0.077
Nb: 0.687 0.938 0.351
O: 0.013 0.593 0.175
O: 0.091 0.191 0.778
O: 0.108 0.723 0.221
O: 0.123 0.806 0.701
O: 0.177 0.014 0.286
O: 0.194 0.877 0.299
O: 0.196 0.317 0.896
O: 0.259 0.058 0.345
O: 0.277 0.892 0.779
O: 0.292 0.146 0.413
O: 0.305 0.643 0.169
O: 0.313 0.402 0.036
O: 0.357 0.695 0.831
O: 0.381 0.183 0.484
O: 0.407 0.987 0.825
O: 0.450 0.234 0.562
O: 0.471 0.338 0.620
O: 0.544 0.064 0.001
O: 0.597 0.237 0.105
O: 0.598 0.687 0.964
O: 0.611 0.318 0.744
O: 0.662 0.529 0.380
O: 0.682 0.389 0.256
O: 0.683 0.804 0.104
O: 0.763 0.403 0.895
O: 0.766 0.550 0.438
O: 0.803 0.151 0.285
O: 0.809 0.909 0.222
O: 0.817 0.619 0.516
O: 0.849 0.197 0.715
O: 0.854 0.708 0.587
O: 0.936 0.456 0.999
O: 0.942 0.741 0.655
O: 0.986 0.823 0.714

Peak list (6 most intense, 10° ≤ 2θ ≤ 90°, by intensity)
Position (°2θ)  d (Å)  I (rel.)
29.60  3.018  100.0
30.00  2.979  93.6
49.80  1.831  37.8
34.28  2.616  27.2
48.81  1.866  23.2
35.64  2.519  20.0

[3]
Diffraction record for NbOs8. The PXRD pattern is theoretical, not measured: it uses a crystal structure in Alexandria, relaxed with GGA-PBE and Cu Kα X-rays.
Lines closer than 0.1° are merged.

Crystal structure
Cell lengths 8.289, 6.178, 6.166 Å; angles 84.37, 47.88, 47.75 degrees
Fractional positions:
Nb: 0.000 0.000 0.000
Os: 0.000 0.337 0.663
Os: 0.000 0.663 0.337
Os: 0.328 0.328 0.672
Os: 0.328 0.672 0.328
Os: 0.337 0.000 0.000
Os: 0.663 0.000 0.000
Os: 0.672 0.328 0.672
Os: 0.672 0.672 0.328

Peak list (6 most intense, 10° ≤ 2θ ≤ 90°, by intensity)
Position (°2θ)  d (Å)  I (rel.)
40.11  2.248  100.0
68.24  1.374  21.1
46.43  1.956  16.4
46.54  1.951  16.3
46.99  1.934  16.1
82.58  1.168  12.9

[4]
Diffraction record for Nb7Os. The PXRD pattern is theoretical, not measured: it uses a crystal structure in Alexandria, relaxed with GGA-PBE and Cu Kα X-rays.
Lines closer than 0.1° are merged.

Crystal structure
Cell lengths 7.350, 7.350, 7.350 Å; angles 143.37, 143.37, 52.76 degrees
Fractional positions:
Nb: 0.000 0.000 0.000
Nb: 0.122 0.622 0.500
Nb: 0.248 0.248 0.000
Nb: 0.378 0.878 0.500
Nb: 0.622 0.122 0.500
Nb: 0.752 0.752 0.000
Nb: 0.878 0.378 0.500
Os: 0.500 0.500 0.000

Peak list (6 most intense, 10° ≤ 2θ ≤ 90°, by intensity)
Position (°2θ)  d (Å)  I (rel.)
38.84  2.319  100.0
39.00  2.309  49.5
70.54  1.335  33.4
70.22  1.340  16.8
56.34  1.633  16.7
83.37  1.159  10.8